Record 1
Theoretical PXRD pattern
Compound: HoHf11
Radiation: Cu Kα X-rays
Structure: a structure optimized by DFT (GGA-PBE)
Neutral-atom scattering factors, no anomalous dispersion.

Structural model:
Unit cell a=10.0934 b=10.0934 c=3.1367 alpha=90.00 beta=90.00 gamma=120.00
Space group P6/mmm (No. 191)
Inequivalent atoms, fractional coordinates:
Ho: 0.0000 0.0000 0.0000
Hf: 0.0000 0.5000 0.0000
Hf: 0.1772 0.3544 0.5000
Hf: 0.3333 0.6667 0.0000

Top 10 peaks for 15° ≤ 2θ ≤ 90°, by angle:
| index | 2θ (°) | d (Å) | I_rel |
| --- | --- | --- | --- |
| 1 1 1 | 33.64 | 2.664 | 25 |
| 2 0 1 | 35.22 | 2.548 | 53 |
| 2 2 0 | 35.58 | 2.523 | 100 |
| 2 1 1 | 39.62 | 2.275 | 19 |
| 3 0 1 | 42.34 | 2.135 | 15 |
| 4 0 1 | 50.93 | 1.793 | 17 |
| 4 1 1 | 56.46 | 1.630 | 11 |
| 4 2 1 | 63.67 | 1.462 | 17 |
| 6 0 0 | 63.90 | 1.457 | 17 |
| 2 2 2 | 70.72 | 1.332 | 28 |

=====

Record 2
Theoretical PXRD pattern
Compound: Ho2Hf2In3
Radiation: Cu Kα X-rays
Structure: a structure optimized by DFT (GGA-PBE)
Neutral-atom scattering factors, no anomalous dispersion.

Structural model:
Unit cell a=4.6940 b=22.6226 c=3.2117 alpha=90.00 beta=90.00 gamma=90.00
Space group Cmmm (No. 65)
Inequivalent atoms, fractional coordinates:
Ho: 0.0000 0.0743 0.0000
Hf: 0.0000 0.2114 0.0000
In: 0.0000 0.3425 0.5000
In: 0.0000 0.5000 0.5000

Top 10 peaks for 15° ≤ 2θ ≤ 90°, by angle:
| index | 2θ (°) | d (Å) | I_rel |
| --- | --- | --- | --- |
| 1 7 0 | 33.67 | 2.662 | 100 |
| 1 1 1 | 34.06 | 2.633 | 79 |
| 1 3 1 | 35.91 | 2.501 | 15 |
| 0 6 1 | 36.76 | 2.445 | 39 |
| 2 0 0 | 38.35 | 2.347 | 39 |
| 1 7 1 | 44.19 | 2.049 | 14 |
| 2 6 1 | 54.17 | 1.693 | 25 |
| 1 13 1 | 64.00 | 1.455 | 14 |
| 3 7 0 | 66.38 | 1.408 | 14 |
| 1 7 2 | 68.20 | 1.375 | 26 |

=====

Record 3
Theoretical PXRD pattern
Compound: HoHfIn2
Radiation: Cu Kα X-rays
Structure: a structure optimized by DFT (GGA-PBE)
Neutral-atom scattering factors, no anomalous dispersion.

Structural model:
Unit cell a=3.7861 b=3.7861 c=6.6801 alpha=90.00 beta=90.00 gamma=90.00
Space group P4/mmm (No. 123)
Inequivalent atoms, fractional coordinates:
Ho: 0.0000 0.0000 0.0000
Hf: 0.0000 0.0000 0.5000
In: 0.5000 0.5000 0.2679

Top 10 peaks for 15° ≤ 2θ ≤ 90°, by angle:
| index | 2θ (°) | d (Å) | I_rel |
| --- | --- | --- | --- |
| 1 1 0 | 33.47 | 2.677 | 61 |
| 1 0 2 | 35.85 | 2.505 | 100 |
| 2 0 0 | 48.06 | 1.893 | 22 |
| 0 0 4 | 54.98 | 1.670 | 7 |
| 2 1 2 | 61.39 | 1.510 | 41 |
| 1 1 4 | 65.92 | 1.417 | 16 |
| 2 2 0 | 70.33 | 1.339 | 7 |
| 2 0 4 | 75.99 | 1.252 | 10 |
| 3 1 0 | 80.17 | 1.197 | 10 |
| 3 0 2 | 81.54 | 1.181 | 9 |

=====

Record 4
Theoretical PXRD pattern
Compound: Ho2HfMnS6
Radiation: Cu Kα X-rays
Structure: a structure optimized by DFT (GGA-PBE)
Neutral-atom scattering factors, no anomalous dispersion.

Structural model:
Unit cell a=6.6415 b=6.6415 c=17.8167 alpha=90.00 beta=90.00 gamma=120.00
Space group R3 (No. 146, hexagonal axes)
Inequivalent atoms, fractional coordinates:
Ho: 0.0000 0.0000 0.0000
Ho: 0.0000 0.0000 0.4963
Hf: 0.0000 0.0000 0.6948
Mn: 0.0000 0.0000 0.2011
S: 0.0431 0.3524 0.2689
S: 0.0449 0.7027 0.7694

Top 10 peaks for 15° ≤ 2θ ≤ 90°, by angle:
| index | 2θ (°) | d (Å) | I_rel |
| --- | --- | --- | --- |
| 0 1 2 | 18.36 | 4.832 | 53 |
| 1 0 4 | 25.29 | 3.522 | 99 |
| 1 1 0 | 26.85 | 3.321 | 100 |
| 1 1 3 | 30.85 | 2.898 | 29 |
| 0 2 4 | 37.22 | 2.416 | 48 |
| 2 -1 6 | 40.76 | 2.214 | 95 |
| 2 1 4 | 46.48 | 1.954 | 45 |
| 3 0 0 | 47.42 | 1.917 | 51 |
| 1 0 10 | 53.88 | 1.702 | 29 |
| 2 2 6 | 64.28 | 1.449 | 23 |